Record 1
TlCdSeF: simulated X-ray diffraction stick pattern (Cu Kα X-rays), based on a cell relaxed with GGA-PBE.
Intensities are scaled so that the largest is 100.

Main lines, sorted by position (10 to 90 degrees two-theta):
2θ (°)  I/Imax  h k l
23.26  61  0 2 1
24.97  100  1 2 1
28.69  42  3 2 0
29.53  51  1 6 0
33.48  35  2 6 0
33.81  93  2 4 1
36.67  23  1 6 1
39.65  36  3 4 1
43.37  38  0 0 2
43.66  34  0 8 1

Lattice parameters (Å, degrees): 9.873 19.110 4.173 90.00 90.00 90.00
Space group Pbam (No. 55)
One atom of each set of equivalent atoms:
Tl 0.037 0.238 0.000 [4 per cell]
Tl 0.227 0.869 0.000 [4 per cell]
Cd 0.066 0.589 0.500 [4 per cell]
Cd 0.115 0.077 0.500 [4 per cell]
Se 0.214 0.472 0.500 [4 per cell]
Se 0.249 0.696 0.500 [4 per cell]
F 0.006 0.384 0.000 [4 per cell]
F 0.018 0.079 0.000 [4 per cell]

***

Record 2
NdNbN2O: simulated X-ray diffraction stick pattern (Cu Kα X-rays), based on a cell relaxed with GGA-PBE.
Intensities are scaled so that the largest is 100.

Main lines, sorted by position (10 to 90 degrees two-theta):
2θ (°)  I/Imax  h k l
31.27  100  0 2 2
31.37  69  2 2 -2
31.73  35  2 0 -4
44.67  18  0 4 0
44.99  15  0 0 4
45.24  15  4 0 -4
55.53  22  2 4 0
55.83  15  2 4 -4
56.18  15  2 2 -6
56.34  15  4 2 -6

Lattice parameters (Å, degrees): 8.019 8.114 11.282 90.00 134.41 90.00
Space group P2_1/c (No. 14)
One atom of each set of equivalent atoms:
Nd 0.045 0.243 0.024 [4 per cell]
Nd 0.453 0.744 0.477 [4 per cell]
Nb 0.019 0.013 0.265 [4 per cell]
Nb 0.488 0.511 0.236 [4 per cell]
N 0.017 0.748 0.218 [4 per cell]
N 0.191 0.540 0.000 [4 per cell]
N 0.299 0.035 0.298 [4 per cell]
N 0.476 0.245 0.198 [4 per cell]
O 0.205 0.549 0.499 [4 per cell]
O 0.307 0.047 0.808 [4 per cell]

***

Record 3
Li4TbTaO6: simulated X-ray diffraction stick pattern (Cu Kα X-rays), based on a cell relaxed with GGA-PBE.
Intensities are scaled so that the largest is 100.

Main lines, sorted by position (10 to 90 degrees two-theta):
2θ (°)  I/Imax  h k l
18.12  100  0 0 1
18.77  24  0 2 0
19.75  42  1 1 0
22.49  30  1 1 -1
26.21  21  0 2 1
33.41  41  1 3 0
33.60  21  2 0 -1
35.15  35  2 0 0
41.17  45  1 3 1
41.51  27  2 0 -2

Lattice parameters (Å, degrees): 5.433 9.453 5.207 90.00 109.91 90.00
Space group C2 (No. 5)
One atom of each set of equivalent atoms:
Li 0.000 0.000 0.000 [2 per cell]
Li 0.000 0.145 0.500 [2 per cell]
Li 0.000 0.307 0.000 [2 per cell]
Li 0.000 0.623 0.000 [2 per cell]
Tb 0.000 0.812 0.500 [2 per cell]
Ta 0.000 0.478 0.500 [2 per cell]
O 0.225 0.329 0.738 [4 per cell]
O 0.228 0.482 0.269 [4 per cell]
O 0.230 0.631 0.741 [4 per cell]

***

Record 4
SrIrN2O: simulated X-ray diffraction stick pattern (Cu Kα X-rays), based on a cell relaxed with GGA-PBE.
Intensities are scaled so that the largest is 100.

Main lines, sorted by position (10 to 90 degrees two-theta):
2θ (°)  I/Imax  h k l
19.85  29  2 0 0
23.87  38  1 1 -1
31.10  100  1 1 1
31.37  98  3 1 -1
34.02  92  0 2 0
40.33  39  4 0 0
48.87  40  2 2 -2
53.73  25  4 2 0
58.99  37  1 3 1
59.17  18  3 3 -1

Lattice parameters (Å, degrees): 10.325 5.278 5.265 90.00 119.96 90.00
Space group C2/c (No. 15)
One atom of each set of equivalent atoms:
Sr 0.000 0.250 0.250 [4 per cell]
Ir 0.250 0.250 0.000 [4 per cell]
N 0.250 0.065 0.316 [8 per cell]
O 0.000 0.249 0.750 [4 per cell]

***

Record 5
Na2SbPd3: simulated X-ray diffraction stick pattern (Cu Kα X-rays), based on a cell relaxed with GGA-PBE.
Intensities are scaled so that the largest is 100.

Main lines, sorted by position (10 to 90 degrees two-theta):
2θ (°)  I/Imax  h k l
19.38  100  1 0 1
21.20  21  0 0 3
37.26  29  0 2 1
38.29  64  1 1 3
39.34  86  2 0 2
40.28  28  0 1 5
43.17  21  0 0 6
46.91  41  0 2 4
65.78  22  2 2 0
81.98  19  2 2 6

Lattice parameters (Å, degrees): 5.6788 5.6788 12.5733 90.00 90.00 120.00
Space group R-3m (No. 166, hexagonal axes)
One atom of each set of equivalent atoms:
Na 0.0000 0.0000 0.1225 [6 per cell]
Sb 0.0000 0.0000 0.5000 [3 per cell]
Pd 0.0000 0.5000 0.0000 [9 per cell]